1.
Computed powder diffraction line list of PrBC for CuKα, from a DFT-relaxed cell (PBE, the Materials Project).
Peak positions follow from Bragg's law for the DFT cell and can differ from measured ones.

Main lines, sorted by position (2θ = 10–80°):
Position (°2θ)  I_rel
23.22  34
24.35  86
27.39  59
28.92  45
30.79  38
31.94  100
33.02  30
33.85  30
33.96  86
36.18  37
37.41  27
49.99  42

Atomic structure:
a = 8.5420 Å, b = 8.5779 Å, c = 12.3511 Å
α = 90.00°, β = 90.00°, γ = 90.00°
Space group P2_12_12_1 (No. 19)
Unique sites:
1 Pr 0.0498 0.0979 0.1406 [4 per cell]
2 Pr 0.0611 0.6978 0.6334 [4 per cell]
3 Pr 0.1580 0.5918 0.9029 [4 per cell]
4 Pr 0.1598 0.9914 0.4205 [4 per cell]
5 Pr 0.2451 0.2887 0.6732 [4 per cell]
6 B 0.0201 0.8877 0.9594 [4 per cell]
7 B 0.0617 0.2996 0.3209 [4 per cell]
8 B 0.0980 0.9739 0.7407 [4 per cell]
9 B 0.1168 0.3968 0.2128 [4 per cell]
10 B 0.1845 0.3083 0.9917 [4 per cell]
11 C 0.0251 0.3076 0.4387 [4 per cell]
12 C 0.0570 0.8894 0.8420 [4 per cell]
13 C 0.1446 0.9967 0.6274 [4 per cell]
14 C 0.1462 0.3948 0.0931 [4 per cell]
15 C 0.2444 0.2985 0.8805 [4 per cell]

2.
Computed powder diffraction line list of Hg5Au6 for CuKα, from a DFT-relaxed cell (PBE, the Materials Project).
Peak positions follow from Bragg's law for the DFT cell and can differ from measured ones.

Main lines, sorted by position (2θ = 10–80°):
Position (°2θ)  I_rel
30.17  52
33.49  51
35.93  99
37.44  51
38.16  42
39.17  100
43.52  20
46.56  19
59.10  16
64.69  21
70.37  23
75.59  28

Atomic structure:
a = 7.2042 Å, b = 7.2042 Å, c = 10.4105 Å
α = 90.00°, β = 90.00°, γ = 120.00°
Space group P6_3/mcm (No. 193)
Unique sites:
1 Hg 0.0000 0.4149 0.2500 [6 per cell]
2 Hg 0.3333 0.6667 0.0000 [4 per cell]
3 Au 0.0000 0.2386 0.6107 [12 per cell]

3.
Computed powder diffraction line list of Er3AlC for CuKα, from a DFT-relaxed cell (PBE, the Materials Project).
Peak positions follow from Bragg's law for the DFT cell and can differ from measured ones.

Main lines, sorted by position (2θ = 10–80°):
Position (°2θ)  I_rel
18.37  25
26.10  15
32.10  100
37.24  55
41.83  12
46.04  7
53.69  38
57.23  6
63.94  42
67.15  13
73.36  4
79.37  6

Atomic structure:
a = 4.8290 Å, b = 4.8290 Å, c = 4.8290 Å
α = 90.00°, β = 90.00°, γ = 90.00°
Space group Pm-3m (No. 221)
Unique sites:
1 Er 0.0000 0.0000 0.5000 [3 per cell]
2 Al 0.5000 0.5000 0.5000 [1 per cell]
3 C 0.0000 0.0000 0.0000 [1 per cell]

4.
Computed powder diffraction line list of Ba4Tm2Cu6O13 for CuKα, from a DFT-relaxed cell (PBE, the Materials Project).
Peak positions follow from Bragg's law for the DFT cell and can differ from measured ones.

Main lines, sorted by position (2θ = 10–80°):
Position (°2θ)  I_rel
22.27  15
32.00  88
32.28  92
32.58  100
37.81  16
39.82  28
46.34  28
47.15  27
57.02  25
57.60  35
58.12  32
68.26  16

Atomic structure:
a = 7.7100 Å, b = 7.8375 Å, c = 23.9551 Å
α = 90.00°, β = 90.00°, γ = 90.00°
Space group Fmmm (No. 69)
Unique sites:
1 Ba 0.2416 0.0000 0.0958 [16 per cell]
2 Tm 0.2500 0.0000 0.2500 [8 per cell]
3 Cu 0.0000 0.2423 0.0000 [8 per cell]
4 Cu 0.0000 0.2487 0.3172 [16 per cell]
5 O 0.0000 0.0000 0.0000 [4 per cell]
6 O 0.0000 0.0000 0.1902 [8 per cell]
7 O 0.0000 0.0000 0.3076 [8 per cell]
8 O 0.0000 0.2284 0.4244 [16 per cell]
9 O 0.2500 0.2500 0.1920 [16 per cell]